For Mo2AsSe, DFT lattice parameters and positions (PBE) gives the computed XRD peak list in this record (Cu Kα (λ = 1.5418 Å)).

Most intense lines, 5° ≤ 2θ ≤ 70°, low angle first:
2θ 19.9, intensity 6; 2θ 34.5, intensity 2; 2θ 35.0, intensity 69; 2θ 38.7, intensity 54; 2θ 40.1, intensity 100; 2θ 43.9, intensity 1; 2θ 45.1, intensity 67; 2θ 53.1, intensity 40; 2θ 54.2, intensity 3; 2θ 58.9, intensity 15

Structural model:
```
data_Mo2AsSe
_chemical_formula_sum 'Mo2 As1 Se1'
_cell_length_a 3.1383
_cell_length_b 4.6510
_cell_length_c 4.4609
_cell_angle_alpha 90.00
_cell_angle_beta 90.00
_cell_angle_gamma 90.00
_space_group_name_H-M_alt 'P m m 2'
_space_group_IT_number 25
loop_
_space_group_symop_operation_xyz
'x,y,z'
'-x,-y,z'
'-x,y,z'
'x,-y,z'
loop_
_atom_site_label
_atom_site_fract_x
_atom_site_fract_y
_atom_site_fract_z
_atom_site_occupancy
Mo1 0.0000 0.0000 0.0000 1
Mo2 0.5000 0.5000 0.2186 1
As1 0.5000 0.0000 0.4735 1
Se1 0.0000 0.5000 0.7503 1
```